Entry 1:
Theoretical PXRD pattern
Compound: Y3Mg
Radiation: Cu Kα
Structure: a DFT-relaxed cell (PBE, the Materials Project)

Structural model:
abc: 4.956 4.956 9.793
angles: 90.00 90.00 90.00
Element x y z (fractional)
Y1 0.000 0.000 0.000
Y2 0.000 0.500 0.250
Y3 0.000 0.500 0.750
Y4 0.500 0.000 0.250
Y5 0.500 0.000 0.750
Y6 0.500 0.500 0.500
Mg1 0.000 0.000 0.500
Mg2 0.500 0.500 0.000

Most intense lines, 15° ≤ 2θ ≤ 90°, in order of rising 2θ:
d/Å, 2θ (°), intensity
4.422, 20.08, 15
2.850, 31.39, 100
2.478, 36.25, 34
2.448, 36.71, 16
1.752, 52.20, 11
1.742, 52.55, 22
1.493, 62.19, 27
1.480, 62.81, 13
1.425, 65.51, 11
1.130, 85.99, 10

---

Entry 2:
Theoretical PXRD pattern
Compound: Ba2SmGaTe5
Radiation: Cu Kα
Structure: a DFT-relaxed cell (PBE, the Materials Project)

Structural model:
abc: 7.905 9.398 10.234
angles: 103.45 102.83 107.38
Element x y z (fractional)
Ba1 0.139 0.481 0.293
Ba2 0.147 0.986 0.289
Ba3 0.853 0.014 0.711
Ba4 0.861 0.519 0.707
Sm1 0.499 0.234 0.998
Sm2 0.501 0.766 0.002
Ga1 0.309 0.374 0.688
Ga2 0.691 0.626 0.312
Te1 0.016 0.759 0.509
Te2 0.195 0.907 0.941
Te3 0.204 0.408 0.929
Te4 0.486 0.175 0.678
Te5 0.486 0.658 0.681
Te6 0.514 0.342 0.319
Te7 0.514 0.825 0.322
Te8 0.796 0.592 0.071
Te9 0.805 0.093 0.059
Te10 0.984 0.241 0.491

Most intense lines, 15° ≤ 2θ ≤ 90°, in order of rising 2θ:
d/Å, 2θ (°), intensity
3.430, 25.98, 100
3.289, 27.11, 48
3.180, 28.06, 69
3.150, 28.33, 29
3.045, 29.34, 27
2.836, 31.55, 28
2.760, 32.44, 24
2.750, 32.56, 24
2.350, 38.31, 47
1.910, 47.62, 24

---

Entry 3:
Theoretical PXRD pattern
Compound: HfSnRh
Radiation: Cu Kα
Structure: a DFT-relaxed cell (PBE, the Materials Project)

Structural model:
abc: 7.402 7.402 3.623
angles: 90.00 90.00 120.00
Element x y z (fractional)
Hf1 0.000 0.603 0.000
Hf2 0.397 0.397 0.000
Hf3 0.603 0.000 0.000
Sn1 0.000 0.269 0.500
Sn2 0.269 0.000 0.500
Sn3 0.731 0.731 0.500
Rh1 0.000 0.000 0.000
Rh2 0.333 0.667 0.500
Rh3 0.667 0.333 0.500

Most intense lines, 15° ≤ 2θ ≤ 90°, in order of rising 2θ:
d/Å, 2θ (°), intensity
2.589, 34.65, 100
2.423, 37.10, 36
2.401, 37.46, 62
2.137, 42.29, 43
2.014, 45.01, 16
1.811, 50.38, 18
1.778, 51.39, 13
1.451, 64.20, 15
1.382, 67.83, 21
1.363, 68.91, 28

---

Entry 4:
Theoretical PXRD pattern
Compound: Tl3H
Radiation: Cu Kα
Structure: a DFT-relaxed cell (PBE, the Materials Project)

Structural model:
abc: 7.475 7.475 7.475
angles: 90.00 90.00 90.00
Element x y z (fractional)
Tl1 0.000 0.000 0.000
Tl2 0.000 0.500 0.500
Tl3 0.250 0.250 0.250
Tl4 0.250 0.250 0.750
Tl5 0.250 0.750 0.250
Tl6 0.250 0.750 0.750
Tl7 0.500 0.000 0.500
Tl8 0.500 0.500 0.000
Tl9 0.750 0.250 0.250
Tl10 0.750 0.250 0.750
Tl11 0.750 0.750 0.250
Tl12 0.750 0.750 0.750
H1 0.000 0.000 0.500
H2 0.000 0.500 0.000
H3 0.500 0.000 0.000
H4 0.500 0.500 0.500

Most intense lines, 15° ≤ 2θ ≤ 90°, in order of rising 2θ:
d/Å, 2θ (°), intensity
4.316, 20.58, 25
3.737, 23.81, 13
2.643, 33.92, 100
2.254, 40.00, 14
1.869, 48.73, 18
1.715, 53.43, 6
1.671, 54.93, 6
1.526, 60.70, 38
1.321, 71.38, 12
1.182, 81.43, 17

---

Entry 5:
Theoretical PXRD pattern
Compound: Sm4Ru
Radiation: Cu Kα
Structure: a DFT-relaxed cell (PBE, the Materials Project)

Structural model:
abc: 7.750 7.750 7.750
angles: 60.00 60.00 60.00
Element x y z (fractional)
Sm1 0.214 0.762 0.762
Sm2 0.238 0.238 0.238
Sm3 0.238 0.238 0.786
Sm4 0.238 0.786 0.238
Sm5 0.762 0.214 0.762
Sm6 0.762 0.762 0.214
Sm7 0.762 0.762 0.762
Sm8 0.786 0.238 0.238
Ru1 0.375 0.375 0.375
Ru2 0.625 0.625 0.625

Most intense lines, 15° ≤ 2θ ≤ 90°, in order of rising 2θ:
d/Å, 2θ (°), intensity
3.875, 22.95, 10
3.164, 28.21, 100
2.740, 32.68, 33
2.514, 35.71, 16
2.109, 42.88, 16
1.938, 46.89, 47
1.652, 55.62, 37
1.339, 70.30, 7
1.257, 75.64, 13
1.119, 87.13, 12

---

Entry 6:
Theoretical PXRD pattern
Compound: MgZn
Radiation: Cu Kα
Structure: a DFT-relaxed cell (PBE, the Materials Project)

Structural model:
abc: 3.080 3.080 9.160
angles: 90.00 90.00 120.00
Element x y z (fractional)
Mg1 0.333 0.667 0.143
Mg2 0.667 0.333 0.857
Zn1 0.333 0.667 0.610
Zn2 0.667 0.333 0.390

Most intense lines, 15° ≤ 2θ ≤ 90°, in order of rising 2θ:
d/Å, 2θ (°), intensity
2.667, 33.60, 26
2.561, 35.04, 17
2.305, 39.08, 100
2.290, 39.34, 19
2.009, 45.14, 19
1.738, 52.68, 13
1.540, 60.08, 18
1.325, 71.16, 11
1.280, 74.04, 14
1.278, 74.21, 16

---

Entry 7:
Theoretical PXRD pattern
Compound: Pr4Re6O19
Radiation: Cu Kα
Structure: a DFT-relaxed cell (PBE, the Materials Project)

Structural model:
abc: 7.857 7.857 7.857
angles: 109.47 109.47 109.47
Element x y z (fractional)
Pr1 0.000 0.000 0.315
Pr2 0.000 0.315 0.000
Pr3 0.315 0.000 0.000
Pr4 0.685 0.685 0.685
Re1 0.133 0.500 0.633
Re2 0.367 0.867 0.500
Re3 0.500 0.367 0.867
Re4 0.500 0.633 0.133
Re5 0.633 0.133 0.500
Re6 0.867 0.500 0.367
O1 0.000 0.000 0.000
O2 0.000 0.320 0.320
O3 0.000 0.680 0.680
O4 0.057 0.697 0.319
O5 0.262 0.640 0.943
O6 0.303 0.360 0.622
O7 0.319 0.057 0.697
O8 0.320 0.000 0.320
O9 0.320 0.320 0.000
O10 0.360 0.622 0.303
O11 0.378 0.738 0.681
O12 0.622 0.303 0.360
O13 0.640 0.943 0.262
O14 0.680 0.000 0.680
O15 0.680 0.680 0.000
O16 0.681 0.378 0.738
O17 0.697 0.319 0.057
O18 0.738 0.681 0.378
O19 0.943 0.262 0.640

Most intense lines, 15° ≤ 2θ ≤ 90°, in order of rising 2θ:
d/Å, 2θ (°), intensity
4.536, 19.57, 31
3.704, 24.03, 38
2.869, 31.18, 100
2.425, 37.08, 53
2.138, 42.26, 16
1.852, 49.20, 15
1.779, 51.35, 64
1.656, 55.48, 21
1.512, 61.31, 32
1.400, 66.83, 13

---

Entry 8:
Theoretical PXRD pattern
Compound: Rb2Co3S4
Radiation: Cu Kα
Structure: a DFT-relaxed cell (PBE, the Materials Project)

Structural model:
abc: 8.839 8.839 8.839
angles: 144.57 104.75 86.02
Element x y z (fractional)
Rb1 0.124 0.241 0.365
Rb2 0.376 0.741 0.118
Rb3 0.624 0.259 0.882
Rb4 0.876 0.759 0.635
Co1 0.003 0.750 0.253
Co2 0.250 0.750 0.500
Co3 0.497 0.750 0.747
Co4 0.503 0.250 0.253
Co5 0.750 0.250 0.500
Co6 0.997 0.250 0.747
S1 0.039 0.415 0.125
S2 0.210 0.085 0.625
S3 0.290 0.915 0.875
S4 0.461 0.585 0.375
S5 0.539 0.415 0.625
S6 0.710 0.085 0.125
S7 0.790 0.915 0.375
S8 0.961 0.585 0.875

Most intense lines, 15° ≤ 2θ ≤ 90°, in order of rising 2θ:
d/Å, 2θ (°), intensity
3.654, 24.36, 21
3.232, 27.60, 31
2.854, 31.34, 100
2.486, 36.12, 63
1.905, 47.75, 37
1.683, 54.54, 49
1.641, 56.04, 16
1.586, 58.16, 15
1.583, 58.30, 15
1.344, 69.99, 14

---

Entry 9:
Theoretical PXRD pattern
Compound: InS
Radiation: Cu Kα
Structure: a DFT-relaxed cell (PBE, the Materials Project)

Structural model:
abc: 4.086 11.199 5.681
angles: 90.00 133.61 90.00
Element x y z (fractional)
In1 0.109 0.123 0.066
In2 0.109 0.377 0.566
In3 0.891 0.623 0.434
In4 0.891 0.877 0.934
S1 0.003 0.651 0.999
S2 0.003 0.849 0.499
S3 0.997 0.151 0.501
S4 0.997 0.349 0.001

Most intense lines, 15° ≤ 2θ ≤ 90°, in order of rising 2θ:
d/Å, 2θ (°), intensity
3.862, 23.03, 62
3.836, 23.19, 70
3.315, 26.89, 29
2.959, 30.21, 77
2.841, 31.49, 100
2.800, 31.97, 89
2.041, 44.38, 30
2.034, 44.55, 45
1.994, 45.49, 63
1.965, 46.19, 42

---

Entry 10:
Theoretical PXRD pattern
Compound: TmPd2Pb
Radiation: Cu Kα
Structure: a DFT-relaxed cell (PBE, the Materials Project)

Structural model:
abc: 6.850 6.850 6.850
angles: 90.00 90.00 90.00
Element x y z (fractional)
Tm1 0.000 0.000 0.000
Tm2 0.000 0.500 0.500
Tm3 0.500 0.000 0.500
Tm4 0.500 0.500 0.000
Pd1 0.250 0.250 0.250
Pd2 0.250 0.250 0.750
Pd3 0.250 0.750 0.250
Pd4 0.250 0.750 0.750
Pd5 0.750 0.250 0.250
Pd6 0.750 0.250 0.750
Pd7 0.750 0.750 0.250
Pd8 0.750 0.750 0.750
Pb1 0.000 0.000 0.500
Pb2 0.000 0.500 0.000
Pb3 0.500 0.000 0.000
Pb4 0.500 0.500 0.500

Most intense lines, 15° ≤ 2θ ≤ 90°, in order of rising 2θ:
d/Å, 2θ (°), intensity
3.955, 22.48, 1
3.425, 26.01, 8
2.422, 37.12, 100
2.065, 43.83, 1
1.977, 45.89, 3
1.713, 53.51, 18
1.532, 60.44, 4
1.398, 66.92, 36
1.211, 79.08, 11
1.142, 84.94, 2